The following is a simulated powder diffractogram of Li3Ni3SbO8. It was derived from the GGA+U geometry in the Materials Project, using λ = 1.5418 Å (Cu Kα).
No peak broadening, texture or thermal motion is included.

Largest 10 diffraction maxima, in order of falling intensity, 10 to 90 degrees two-theta:
- 18.0°, I = 100, hkl 0 0 1
- 42.9°, I = 40, hkl 2 0 -2
- 35.4°, I = 29, hkl 2 0 -1
- 42.6°, I = 20, hkl 0 2 0
- 36.9°, I = 19, hkl 2 0 0
- 35.2°, I = 17, hkl 0 2 -1
- 46.8°, I = 16, hkl -2 2 1
- 62.3°, I = 12, hkl 2 2 -2
- 18.2°, I = 11, hkl 0 1 -1
- 61.8°, I = 11, hkl 2 0 2

Crystal structure
```
15
Lattice="5.939 0.000 0.000 -2.965 5.169 0.000 -0.006 -3.427 4.923" Properties=species:S:1:pos:R:3 pbc="T T T"
Li 0.000 0.000 0.000
Li -1.483 2.584 0.000
Li 2.969 0.000 0.000
Ni -0.003 -1.714 2.461
Ni 2.966 -1.714 2.461
Ni 1.483 0.871 2.461
Sb -1.486 0.871 2.461
O -1.487 2.533 3.570
O -0.067 0.060 3.598
O -0.055 1.676 1.331
O 1.477 -0.840 1.476
O 1.490 2.581 3.447
O 3.022 0.065 3.592
O 3.034 1.682 1.325
O 4.454 -0.791 1.353
```

=====

The following is a simulated powder diffractogram of Li4Ni5Sb3O16. It was derived from the GGA+U geometry in the Materials Project, using λ = 1.5418 Å (Cu Kα).
No peak broadening, texture or thermal motion is included.

Largest 10 diffraction maxima, in order of falling intensity, 10 to 90 degrees two-theta:
- 18.4°, I = 100, hkl 0 0 2
- 19.3°, I = 70, hkl 1 1 1
- 35.5°, I = 49, hkl 2 0 1
- 35.7°, I = 46, hkl 2 0 -1
- 44.5°, I = 39, hkl 2 2 3
- 35.0°, I = 37, hkl 1 2 2
- 61.8°, I = 27, hkl 4 2 0
- 19.4°, I = 25, hkl 0 1 -1
- 59.2°, I = 24, hkl 2 2 5
- 44.9°, I = 23, hkl 2 0 -3

Crystal structure
```
28
Lattice="6.003 0.000 0.000 2.952 5.227 0.000 0.145 0.081 9.658" Properties=species:S:1:pos:R:3 pbc="T T T"
Li 0.000 0.000 0.000
Li 0.144 0.083 4.716
Li 2.904 1.692 3.602
Li 6.018 3.508 8.625
Ni 1.487 0.866 6.884
Ni 2.979 1.737 9.580
Ni 4.394 4.286 2.033
Ni 5.809 3.389 4.617
Ni 5.893 1.717 2.030
Sb 2.940 3.442 6.869
Sb 4.445 0.862 6.870
Sb 7.339 4.282 2.032
O 1.662 2.559 8.075
O 2.867 3.512 0.959
O 1.342 0.784 1.041
O 4.323 4.309 5.771
O 2.983 1.739 5.750
O 4.348 2.535 8.052
O 3.049 0.183 8.076
O 5.854 4.976 3.200
O 4.571 2.665 3.098
O 5.873 3.419 0.969
O 4.467 0.772 0.956
O 5.880 1.642 5.772
O 7.491 4.370 5.767
O 7.212 2.645 3.203
O 8.910 5.197 7.874
O 8.872 5.187 2.957
```